(1)
Structure and computed powder XRD pattern of HoPaO4 (a structure optimized by DFT (GGA-PBE); Cu Kα, 1.54184 Å).
Lines closer than 0.1° are merged.

Peak list (8 most intense, 2θ = 15–90°, by angle)
2θ/deg  d_spacing  I (rel.)  (hkl)
28.82  3.098  100  1 1 2
33.40  2.683  35  2 0 0
47.95  1.897  50  2 2 0
56.91  1.618  46  3 1 2
59.69  1.549  10  2 2 4
77.55  1.231  19  3 3 2
79.96  1.200  14  4 2 0
89.47  1.095  17  4 2 4

Crystal structure
```
data_HoPaO4
_chemical_formula_sum 'Ho4 Pa4 O16'
_symmetry_space_group_name_H-M 'I 41/a m d'
_symmetry_Int_Tables_number 141
_cell_length_a 5.3674
_cell_length_b 5.3674
_cell_length_c 10.7265
_cell_angle_alpha 90.00
_cell_angle_beta 90.00
_cell_angle_gamma 90.00
loop_
_symmetry_equiv_pos_as_xyz
'x,y,z'
'-x,-y,-z'
'-y+1/4,x+3/4,z+1/4'
'y+1/4,-x+3/4,-z+1/4'
'-x+1/2,-y,z+1/2'
'x+1/2,y,-z+1/2'
'y+1/4,-x+1/4,z+3/4'
'-y+1/4,x+1/4,-z+3/4'
'x,-y,-z'
'-x,y,z'
'-y+1/4,-x+1/4,-z+3/4'
'y+1/4,x+1/4,z+3/4'
'-x+1/2,y,-z+1/2'
'x+1/2,-y,z+1/2'
'y+1/4,x+3/4,-z+1/4'
'-y+1/4,-x+3/4,z+1/4'
'x+1/2,y+1/2,z+1/2'
'-x+1/2,-y+1/2,-z+1/2'
'-y+3/4,x+1/4,z+3/4'
'y+3/4,-x+1/4,-z+3/4'
'-x,-y+1/2,z'
'x,y+1/2,-z'
'y+3/4,-x+3/4,z+1/4'
'-y+3/4,x+3/4,-z+1/4'
'x+1/2,-y+1/2,-z+1/2'
'-x+1/2,y+1/2,z+1/2'
'-y+3/4,-x+3/4,-z+1/4'
'y+3/4,x+3/4,z+1/4'
'-x,y+1/2,-z'
'x,-y+1/2,z'
'y+3/4,x+1/4,-z+3/4'
'-y+3/4,-x+1/4,z+3/4'
loop_
_atom_site_label
_atom_site_type_symbol
_atom_site_fract_x
_atom_site_fract_y
_atom_site_fract_z
Ho1 Ho 0.0000 0.2500 0.3750
Pa1 Pa 0.0000 0.2500 0.8750
O1 O 0.2439 0.0000 0.0000
```

(2)
Structure and computed powder XRD pattern of Rb2YHoO4 (a structure optimized by DFT (GGA-PBE); Cu Kα, 1.54184 Å).
Lines closer than 0.1° are merged.

Peak list (8 most intense, 2θ = 15–90°, by angle)
2θ/deg  d_spacing  I (rel.)  (hkl)
27.64  3.227  37  0 0 4
30.59  2.922  22  1 0 1
32.92  2.720  100  1 0 2
36.51  2.461  34  0 1 3
41.08  2.197  18  0 1 4
52.33  1.748  34  0 1 6
52.86  1.732  28  1 1 0
60.68  1.526  25  1 1 4

Crystal structure
```
data_Rb2YHoO4
_chemical_formula_sum 'Rb2 Y1 Ho1 O4'
_symmetry_space_group_name_H-M 'P -3 m 1'
_symmetry_Int_Tables_number 164
_symmetry_space_group_name_Hall '-P 3 2"'
_cell_length_a 3.4640
_cell_length_b 3.4640
_cell_length_c 12.9091
_cell_angle_alpha 90.00
_cell_angle_beta 90.00
_cell_angle_gamma 120.00
loop_
_atom_site_label
_atom_site_type_symbol
_atom_site_fract_x
_atom_site_fract_y
_atom_site_fract_z
Rb1 Rb 0.3333 0.6667 0.2502
Y1 Y 0.0000 0.0000 0.0000
Ho1 Ho 0.0000 0.0000 0.5000
O1 O 0.3333 0.6667 0.5888
O2 O 0.3333 0.6667 0.9096
```

(3)
Structure and computed powder XRD pattern of Ho2SO6 (a structure optimized by DFT (GGA-PBE); Cu Kα, 1.54184 Å).
Lines closer than 0.1° are merged.

Peak list (8 most intense, 2θ = 15–90°, by angle)
2θ/deg  d_spacing  I (rel.)  (hkl)
23.06  3.856  12  0 1 1
29.61  3.017  100  0 3 1
31.48  2.842  35  1 0 1
34.16  2.625  9  1 2 1
39.83  2.263  16  0 5 1
51.34  1.780  21  1 6 1
54.90  1.672  30  1 3 2
83.18  1.161  8  1 9 2

Crystal structure
```
data_Ho2SO6
_chemical_formula_sum 'Ho4 S2 O12'
_symmetry_space_group_name_H-M 'P 21 21 2'
_symmetry_Int_Tables_number 18
_cell_length_a 4.0134
_cell_length_b 13.6964
_cell_length_c 4.0242
_cell_angle_alpha 90.00
_cell_angle_beta 90.00
_cell_angle_gamma 90.00
loop_
_symmetry_equiv_pos_as_xyz
'x,y,z'
'-x,-y,z'
'x+1/2,-y+1/2,-z'
'-x+1/2,y+1/2,-z'
loop_
_atom_site_label
_atom_site_type_symbol
_atom_site_fract_x
_atom_site_fract_y
_atom_site_fract_z
Ho1 Ho 0.0336 0.1768 0.2459
S1 S 0.0000 0.5000 0.2419
O1 O 0.0346 0.2495 0.7460
O2 O 0.1973 0.4335 0.0317
O3 O 0.2214 0.5591 0.4523
```

What is the formula in the first record?
HoPaO4